Entry 1:
This entry pairs a crystal structure of Sr2YAlCu2O7 with its computed XRD peak list. Radiation: Cu Kα, 1.54184 Å. Structure: a DFT-relaxed cell (PBE, the Materials Project).

Peak list (12 most intense, 2θ from 15° to 90°, most intense first)
33.0 deg, I 100; 46.9 deg, I 26; 32.3 deg, I 21; 59.0 deg, I 20; 39.3 deg, I 20; 58.1 deg, I 16; 69.3 deg, I 10; 47.9 deg, I 6; 78.1 deg, I 6; 59.4 deg, I 5; 76.4 deg, I 5; 40.3 deg, I 5

Cell and atoms:
Unit cell a=22.7810 b=5.5441 c=5.4265 alpha=90.00 beta=90.00 gamma=90.00
Space group Ima2 (No. 46)
Symmetry-distinct sites (fractional):
Sr 0.1542 0.0145 0.0000
Y 0.0000 0.0000 0.0016
Al 0.2500 0.5676 0.9827
Cu 0.0729 0.0001 0.5042
O 0.0606 0.2452 0.2499
O 0.0683 0.7460 0.2584
O 0.1812 0.0628 0.5421
O 0.2500 0.6584 0.6633

=====

Entry 2:
This entry pairs a crystal structure of AlCuP2Se6 with its computed XRD peak list. Radiation: Cu Kα, 1.54184 Å. Structure: a DFT-relaxed cell (PBE, the Materials Project).

Peak list (12 most intense, 2θ from 15° to 90°, most intense first)
31.3 deg, I 100; 38.7 deg, I 29; 50.3 deg, I 27; 49.0 deg, I 26; 25.7 deg, I 25; 57.3 deg, I 14; 60.4 deg, I 14; 82.4 deg, I 11; 76.0 deg, I 10; 72.8 deg, I 7; 75.0 deg, I 7; 65.2 deg, I 6

Cell and atoms:
Unit cell a=6.2859 b=6.2859 c=20.7671 alpha=90.00 beta=90.00 gamma=120.00
Space group R3 (No. 146, hexagonal axes)
Symmetry-distinct sites (fractional):
Al 0.0000 0.0000 0.0000
Cu 0.0000 0.0000 0.3344
P 0.0000 0.0000 0.6139
P 0.0000 0.0000 0.7211
Se 0.0020 0.3180 0.9205
Se 0.0019 0.6860 0.0805

=====

Entry 3:
This entry pairs a crystal structure of AlCu3PbSe4 with its computed XRD peak list. Radiation: Cu Kα, 1.54184 Å. Structure: a DFT-relaxed cell (PBE, the Materials Project).

Peak list (12 most intense, 2θ from 15° to 90°, most intense first)
25.6 deg, I 100; 42.3 deg, I 86; 50.1 deg, I 45; 20.8 deg, I 28; 77.4 deg, I 25; 67.6 deg, I 16; 36.5 deg, I 16; 33.2 deg, I 14; 61.4 deg, I 13; 83.1 deg, I 12; 57.1 deg, I 11; 65.6 deg, I 7

Cell and atoms:
Unit cell a=6.0378 b=6.0378 c=6.0378 alpha=90.00 beta=90.00 gamma=90.00
Space group P-43m (No. 215)
Symmetry-distinct sites (fractional):
Al 0.0000 0.0000 0.0000
Cu 0.0000 0.0000 0.5000
Pb 0.5000 0.5000 0.5000
Se 0.2274 0.2274 0.2274